Entry 1:
Starting from a cell relaxed with GGA-PBE, the PXRD pattern of ScP3 was calculated for Cu Ka.
Lines closer than 0.1° are merged.

Main lines, sorted by position (2θ = 5–70°):
d (Å)	Position (°2θ)	I_rel
4.009	22.2	38
3.070	29.1	68
2.316	38.9	424
2.240	40.3	1000
2.005	45.2	130
1.662	55.3	103
1.610	57.2	38
1.516	61.1	109
1.444	64.5	36
1.350	69.6	135

Cell and atoms:
```
ScP3
1.0
3.3230 0.0000 0.0000
0.0000 4.6325 0.0000
0.0000 0.0000 8.0183
Sc P
2 6
Cartesian
0.0000 0.0000 0.0000
1.6615 2.3163 4.0092
0.0000 0.0000 4.0092
0.0000 2.3163 1.6752
0.0000 2.3163 6.3431
1.6615 0.0000 2.3340
1.6615 0.0000 5.6844
1.6615 2.3163 0.0000
```

Entry 2:
Starting from a cell relaxed with GGA-PBE, the PXRD pattern of Hf3Cu3C was calculated for Cu Ka.
Lines closer than 0.1° are merged.

Main lines, sorted by position (2θ = 5–70°):
d (Å)	Position (°2θ)	I_rel
2.969	30.1	192
2.724	32.9	263
2.424	37.1	523
2.285	39.4	1000
2.099	43.1	304
1.663	55.2	125
1.546	59.8	105
1.451	64.2	132
1.400	66.8	467
1.371	68.4	108

Cell and atoms:
```
Hf3Cu3C
1.0
0.0000 5.9378 5.9378
5.9378 0.0000 5.9378
5.9378 5.9378 0.0000
Hf Cu C
12 12 4
Cartesian
4.4534 4.4534 0.8207
4.4534 0.8207 4.4534
8.0860 4.4534 4.4534
7.4223 7.4223 3.7896
7.4223 3.7896 7.4223
11.0549 7.4223 7.4223
0.8207 4.4534 4.4534
4.4534 8.0860 4.4534
4.4534 4.4534 8.0860
3.7896 7.4223 7.4223
7.4223 11.0549 7.4223
7.4223 7.4223 11.0549
5.9378 2.9689 2.9689
3.4885 3.4885 3.4885
5.4182 5.4182 3.4885
5.4182 3.4885 5.4182
8.3872 6.4574 6.4574
2.9689 5.9378 2.9689
2.9689 2.9689 5.9378
5.9378 5.9378 5.9378
3.4885 5.4182 5.4182
6.4574 8.3872 6.4574
6.4574 6.4574 8.3872
8.3872 8.3872 8.3872
0.0000 0.0000 0.0000
2.9689 2.9689 0.0000
2.9689 0.0000 2.9689
0.0000 2.9689 2.9689
```

Entry 3:
Starting from a cell relaxed with GGA-PBE, the PXRD pattern of Ac3CeOs2 was calculated for Cu Ka.
Lines closer than 0.1° are merged.

Main lines, sorted by position (2θ = 5–70°):
d (Å)	Position (°2θ)	I_rel
5.738	15.4	494
3.789	23.5	510
3.518	25.3	611
3.118	28.6	740
2.899	30.8	1000
2.869	31.2	322
2.854	31.3	522
2.464	36.5	444
2.247	40.1	759
2.234	40.4	562

Cell and atoms:
```
Ac3CeOs2
1.0
8.5644 -2.2341 0.0000
8.5644 2.2341 0.0000
-5.5456 0.0000 10.4546
Ac Ce Os
6 2 4
Cartesian
-0.3438 0.0000 2.3887
0.2824 0.0000 6.2996
0.2953 0.0000 10.2986
11.2879 0.0000 0.1560
11.3008 0.0000 4.1550
11.9270 0.0000 8.0660
5.5669 0.0000 3.5324
6.0162 0.0000 6.9222
-2.2087 0.0000 8.5537
3.5650 0.0000 5.9679
8.0182 0.0000 4.4867
13.7919 0.0000 1.9009
```

Entry 4:
Starting from a cell relaxed with GGA-PBE, the PXRD pattern of PaIn2Ni7As2 was calculated for Cu Ka.
Lines closer than 0.1° are merged.

Main lines, sorted by position (2θ = 5–70°):
d (Å)	Position (°2θ)	I_rel
13.715	6.4	1000
6.858	12.9	517
3.218	27.7	508
2.743	32.6	375
2.409	37.3	395
2.400	37.5	362
2.308	39.0	470
2.015	45.0	391
1.915	47.5	408
1.887	48.2	832

Cell and atoms:
```
PaIn2Ni7As2
1.0
2.6748 -2.6741 0.0000
2.6748 2.6741 0.0000
-1.2762 0.0000 13.7153
Pa In Ni As
1 2 7 2
Cartesian
0.0000 0.0000 0.0000
0.1011 0.0000 5.5136
3.9723 0.0000 8.2017
1.3657 1.3316 1.9349
1.3500 0.0000 7.9852
2.7077 1.3316 11.7804
2.6748 0.0000 0.0000
1.3657 -1.3316 1.9349
2.7235 0.0000 5.7301
2.7077 -1.3316 11.7804
1.3554 0.0000 10.3126
2.7180 0.0000 3.4026
```

Entry 5:
Starting from a cell relaxed with GGA-PBE, the PXRD pattern of Nd2Dy2Ho5 was calculated for Cu Ka.
Lines closer than 0.1° are merged.

Main lines, sorted by position (2θ = 5–70°):
d (Å)	Position (°2θ)	I_rel
3.478	25.6	431
3.198	27.9	444
3.135	28.5	414
2.996	29.8	801
2.984	29.9	743
2.725	32.9	700
2.668	33.6	721
2.570	34.9	745
2.481	36.2	1000
2.115	42.8	352

Cell and atoms:
```
Nd2Dy2Ho5
1.0
10.8162 -1.7432 0.0000
10.8162 1.7432 0.0000
-1.4003 0.0000 8.0832
Nd Dy Ho
2 2 5
Cartesian
3.7256 0.0000 1.1675
16.5065 0.0000 6.9156
8.8969 0.0000 5.2095
11.3352 0.0000 2.8737
0.0000 0.0000 0.0000
1.0491 0.0000 5.9301
6.0365 0.0000 3.7973
14.1957 0.0000 4.2859
19.1830 0.0000 2.1531
```

Entry 6:
Starting from a cell relaxed with GGA-PBE, the PXRD pattern of PmY2Er was calculated for Cu Ka.
Lines closer than 0.1° are merged.

Main lines, sorted by position (2θ = 5–70°):
d (Å)	Position (°2θ)	I_rel
11.555	7.7	353
3.068	29.1	391
2.889	31.0	475
2.843	31.5	1000
2.638	34.0	785
2.318	38.9	196
1.800	50.7	354
1.706	53.7	226
1.575	58.6	156
1.528	60.6	412

Cell and atoms:
```
PmY2Er
1.0
6.2322 0.0000 0.0000
0.0000 3.6006 0.0000
-2.0620 0.0000 11.5554
Pm Y Er
2 4 2
Cartesian
0.0000 0.0000 0.0000
3.1161 1.8003 0.0000
0.0090 0.0000 8.6349
1.0436 1.8003 5.7571
3.1251 1.8003 8.6349
4.1597 0.0000 5.7571
2.0736 0.0000 2.9077
5.1897 1.8003 2.9077
```